Dy5Se8: calculated powder X-ray diffraction pattern (Cu Ka), based on a crystal structure in Alexandria, relaxed with PBE.
Kinematic intensities with the Lorentz-polarization factor, no thermal factor.

Principal peaks in the range 10° ≤ 2θ ≤ 80°, sorted by position:
two_theta, I_rel
13.18, 82
24.87, 35
28.10, 49
28.40, 100
36.33, 34
36.45, 45
36.93, 64
44.00, 61

abc: 7.8939 7.8939 9.6644
angles: 125.19 125.19 63.31
Element x y z (fractional)
Dy 0.0000 0.0000 0.0000
Dy 0.2589 0.7411 0.5000
Dy 0.2791 0.2791 0.0057
Dy 0.7209 0.7209 0.9943
Dy 0.7411 0.2589 0.5000
Se 0.0142 0.0142 0.3112
Se 0.0149 0.5563 0.8316
Se 0.4437 0.9851 0.1684
Se 0.4536 0.4536 0.6567
Se 0.5464 0.5464 0.3433
Se 0.5563 0.0149 0.8316
Se 0.9851 0.4437 0.1684
Se 0.9858 0.9858 0.6888



Dy2SiSe4: calculated powder X-ray diffraction pattern (Cu Ka), based on a crystal structure in Alexandria, relaxed with PBE.
Kinematic intensities with the Lorentz-polarization factor, no thermal factor.

Principal peaks in the range 10° ≤ 2θ ≤ 80°, sorted by position:
two_theta, I_rel
14.60, 25
19.90, 31
24.77, 100
31.97, 24
40.43, 27
41.29, 50
47.99, 33
74.11, 18

abc: 6.3105 6.3105 12.1310
angles: 90.00 90.00 90.00
Element x y z (fractional)
Dy 0.0000 0.5000 0.2500
Dy 0.0000 0.5000 0.7500
Dy 0.5000 0.0000 0.2500
Dy 0.5000 0.0000 0.7500
Si 0.0000 0.0000 0.0000
Si 0.5000 0.5000 0.5000
Se 0.2451 0.2451 0.1178
Se 0.2451 0.7549 0.8822
Se 0.2549 0.2549 0.6178
Se 0.2549 0.7451 0.3822
Se 0.7451 0.2549 0.3822
Se 0.7451 0.7451 0.6178
Se 0.7549 0.2451 0.8822
Se 0.7549 0.7549 0.1178



Dy7SiSe5: calculated powder X-ray diffraction pattern (Cu Ka), based on a crystal structure in Alexandria, relaxed with PBE.
Kinematic intensities with the Lorentz-polarization factor, no thermal factor.

Principal peaks in the range 10° ≤ 2θ ≤ 80°, sorted by position:
two_theta, I_rel
29.32, 79
30.22, 42
30.91, 100
32.05, 62
32.76, 49
41.12, 43
44.90, 40
45.06, 35

abc: 6.9279 6.9279 24.0077
angles: 90.00 90.00 146.12
Element x y z (fractional)
Dy 0.0369 0.9631 0.5000
Dy 0.1385 0.8615 0.2119
Dy 0.1389 0.8611 0.7882
Dy 0.3037 0.6963 0.4320
Dy 0.3040 0.6960 0.5681
Dy 0.4052 0.5948 0.1292
Dy 0.4057 0.5943 0.8708
Dy 0.5943 0.4057 0.3708
Dy 0.5948 0.4052 0.6292
Dy 0.6960 0.3040 0.0681
Dy 0.6963 0.3037 0.9320
Dy 0.8611 0.1389 0.2882
Dy 0.8615 0.1385 0.7119
Dy 0.9631 0.0369 0.0000
Si 0.3093 0.6907 0.0002
Si 0.6907 0.3093 0.5002
Se 0.0528 0.9472 0.1057
Se 0.0531 0.9469 0.8944
Se 0.2221 0.7779 0.3221
Se 0.2225 0.7775 0.6779
Se 0.4998 0.5002 0.2500
Se 0.5002 0.4998 0.7500
Se 0.7775 0.2225 0.1779
Se 0.7779 0.2221 0.8221
Se 0.9469 0.0531 0.3944
Se 0.9472 0.0528 0.6057



Dy4SiSe2: calculated powder X-ray diffraction pattern (Cu Ka), based on a crystal structure in Alexandria, relaxed with PBE.
Kinematic intensities with the Lorentz-polarization factor, no thermal factor.

Principal peaks in the range 10° ≤ 2θ ≤ 80°, sorted by position:
two_theta, I_rel
26.65, 36
29.68, 100
30.24, 38
30.97, 72
33.06, 55
40.71, 43
45.08, 31
54.91, 36

abc: 6.8371 6.8371 13.5640
angles: 90.00 90.00 145.79
Element x y z (fractional)
Dy 0.0000 0.0000 0.0000
Dy 0.0000 0.0000 0.5000
Dy 0.2821 0.7179 0.6283
Dy 0.2821 0.7179 0.8717
Dy 0.4505 0.5495 0.2500
Dy 0.5495 0.4505 0.7500
Dy 0.7179 0.2821 0.1283
Dy 0.7179 0.2821 0.3717
Si 0.1056 0.8944 0.2500
Si 0.8944 0.1056 0.7500
Se 0.3600 0.6400 0.0634
Se 0.3600 0.6400 0.4366
Se 0.6400 0.3600 0.5634
Se 0.6400 0.3600 0.9366



Dy2SiSe: calculated powder X-ray diffraction pattern (Cu Ka), based on a crystal structure in Alexandria, relaxed with PBE.
Kinematic intensities with the Lorentz-polarization factor, no thermal factor.

Principal peaks in the range 10° ≤ 2θ ≤ 80°, sorted by position:
two_theta, I_rel
26.37, 17
26.61, 52
30.66, 50
30.79, 100
43.85, 37
43.96, 18
44.19, 55
54.80, 29

abc: 9.1660 9.1660 7.1084
angles: 104.89 104.89 126.58
Element x y z (fractional)
Dy 0.0580 0.4334 0.7415
Dy 0.1730 0.2983 0.2411
Dy 0.2983 0.1730 0.7411
Dy 0.4334 0.0580 0.2415
Dy 0.5666 0.9420 0.7585
Dy 0.7017 0.8270 0.2589
Dy 0.8270 0.7017 0.7589
Dy 0.9420 0.5666 0.2585
Si 0.0653 0.9347 0.2500
Si 0.1903 0.8097 0.7500
Si 0.8097 0.1903 0.2500
Si 0.9347 0.0653 0.7500
Se 0.3151 0.6849 0.2500
Se 0.4399 0.5601 0.7500
Se 0.5601 0.4399 0.2500
Se 0.6849 0.3151 0.7500



Q: Which formula does entry 3 have?
A: Dy7SiSe5



Q: Number 5 is which compound?
A: Dy2SiSe



What did the first record say?
Dy5Se8: calculated powder X-ray diffraction pattern (Cu Ka), based on a crystal structure in Alexandria, relaxed with PBE.
Kinematic intensities with the Lorentz-polarization factor, no thermal factor.

Principal peaks in the range 10° ≤ 2θ ≤ 80°, sorted by position:
two_theta, I_rel
13.18, 82
24.87, 35
28.10, 49
28.40, 100
36.33, 34
36.45, 45
36.93, 64
44.00, 61

abc: 7.8939 7.8939 9.6644
angles: 125.19 125.19 63.31
Element x y z (fractional)
Dy 0.0000 0.0000 0.0000
Dy 0.2589 0.7411 0.5000
Dy 0.2791 0.2791 0.0057
Dy 0.7209 0.7209 0.9943
Dy 0.7411 0.2589 0.5000
Se 0.0142 0.0142 0.3112
Se 0.0149 0.5563 0.8316
Se 0.4437 0.9851 0.1684
Se 0.4536 0.4536 0.6567
Se 0.5464 0.5464 0.3433
Se 0.5563 0.0149 0.8316
Se 0.9851 0.4437 0.1684
Se 0.9858 0.9858 0.6888